1.
The following is a computed powder XRD pattern of CoTePb2O6. It was derived from a crystal structure in the Materials Project, relaxed with PBE+U, using a wavelength of 1.5418 Å.
Peak positions follow from Bragg's law for the DFT cell and can differ from measured ones.

Principal peaks in the range 10° ≤ 2θ ≤ 90°, low angle first:
| h k l | 2θ/deg | d [Å] | I_rel |
| --- | --- | --- | --- |
| 1 1 2 | 21.80 | 4.076 | 167 |
| 0 2 3 | 30.81 | 2.902 | 329 |
| 1 3 1 | 31.18 | 2.869 | 1000 |
| 1 1 -2 | 31.34 | 2.854 | 661 |
| 2 2 4 | 44.45 | 2.038 | 366 |
| 0 4 -2 | 45.10 | 2.010 | 170 |
| 1 5 4 | 54.89 | 1.673 | 141 |
| 1 1 6 | 55.25 | 1.663 | 143 |
| 3 1 -1 | 55.66 | 1.651 | 137 |
| 2 4 -1 | 55.87 | 1.646 | 207 |

Structural model:
a = 5.727 Å, b = 9.957 Å, c = 9.977 Å
α = 79.21°, β = 73.34°, γ = 89.99°
Space group P1 (No. 1)
Inequivalent atoms, fractional coordinates:
Co (0.000, 0.000, 0.000) [1 per cell]
Co (0.250, 0.750, 0.499) [1 per cell]
Co (0.501, 0.500, 0.999) [1 per cell]
Co (0.750, 0.250, 0.500) [1 per cell]
Te (0.126, 0.375, 0.749) [1 per cell]
Te (0.375, 0.125, 0.250) [1 per cell]
Te (0.625, 0.876, 0.750) [1 per cell]
Te (0.876, 0.625, 0.249) [1 per cell]
Pb (0.061, 0.691, 0.877) [1 per cell]
Pb (0.190, 0.059, 0.621) [1 per cell]
Pb (0.310, 0.441, 0.379) [1 per cell]
Pb (0.440, 0.810, 0.121) [1 per cell]
Pb (0.560, 0.191, 0.880) [1 per cell]
Pb (0.689, 0.560, 0.620) [1 per cell]
Pb (0.811, 0.941, 0.379) [1 per cell]
Pb (0.940, 0.310, 0.121) [1 per cell]
O (0.050, 0.657, 0.385) [1 per cell]
O (0.064, 0.158, 0.385) [1 per cell]
O (0.080, 0.182, 0.839) [1 per cell]
O (0.171, 0.570, 0.658) [1 per cell]
O (0.185, 0.591, 0.113) [1 per cell]
O (0.201, 0.091, 0.115) [1 per cell]
O (0.299, 0.409, 0.885) [1 per cell]
O (0.316, 0.909, 0.886) [1 per cell]
O (0.329, 0.930, 0.341) [1 per cell]
O (0.421, 0.319, 0.159) [1 per cell]
O (0.436, 0.343, 0.614) [1 per cell]
O (0.449, 0.843, 0.615) [1 per cell]
O (0.548, 0.158, 0.386) [1 per cell]
O (0.566, 0.657, 0.385) [1 per cell]
O (0.580, 0.682, 0.840) [1 per cell]
O (0.670, 0.070, 0.660) [1 per cell]
O (0.684, 0.091, 0.115) [1 per cell]
O (0.703, 0.592, 0.113) [1 per cell]
O (0.798, 0.909, 0.886) [1 per cell]
O (0.816, 0.410, 0.884) [1 per cell]
O (0.831, 0.430, 0.339) [1 per cell]
O (0.920, 0.819, 0.160) [1 per cell]
O (0.934, 0.842, 0.615) [1 per cell]
O (0.953, 0.343, 0.613) [1 per cell]

2.
The following is a computed powder XRD pattern of Li5Co3O8. It was derived from a crystal structure in the Materials Project, relaxed with PBE+U, using a wavelength of 1.5418 Å.
Peak positions follow from Bragg's law for the DFT cell and can differ from measured ones.

Principal peaks in the range 10° ≤ 2θ ≤ 90°, low angle first:
| h k l | 2θ/deg | d [Å] | I_rel |
| --- | --- | --- | --- |
| 1 1 0 | 18.04 | 4.918 | 251 |
| 0 0 1 | 18.67 | 4.753 | 1000 |
| 1 1 -1 | 23.68 | 3.758 | 134 |
| 4 0 -1 | 36.43 | 2.466 | 165 |
| 2 2 0 | 36.54 | 2.459 | 258 |
| 4 0 -2 | 44.18 | 2.050 | 301 |
| 2 2 1 | 44.30 | 2.045 | 593 |
| 4 0 1 | 48.42 | 1.880 | 129 |
| 4 0 2 | 64.18 | 1.451 | 235 |
| 6 2 -1 | 64.51 | 1.445 | 160 |

Structural model:
a = 10.019 Å, b = 5.760 Å, c = 5.039 Å
α = 90.00°, β = 109.39°, γ = 90.00°
Space group C2/m (No. 12)
Inequivalent atoms, fractional coordinates:
Li (0.000, 0.000, 0.000) [2 per cell]
Li (0.000, 0.245, 0.500) [4 per cell]
Li (0.249, 0.000, 0.500) [4 per cell]
Co (0.000, 0.500, 0.000) [2 per cell]
Co (0.250, 0.250, 0.000) [4 per cell]
O (0.120, 0.500, 0.768) [4 per cell]
O (0.121, 0.269, 0.221) [8 per cell]
O (0.138, 0.000, 0.772) [4 per cell]

3.
The following is a computed powder XRD pattern of Tl4V5CdClO15. It was derived from a crystal structure in the Materials Project, relaxed with PBE+U, using a wavelength of 1.5418 Å.
Peak positions follow from Bragg's law for the DFT cell and can differ from measured ones.

Principal peaks in the range 10° ≤ 2θ ≤ 90°, low angle first:
| h k l | 2θ/deg | d [Å] | I_rel |
| --- | --- | --- | --- |
| 2 1 0 | 21.42 | 4.148 | 161 |
| 2 0 1 | 24.73 | 3.601 | 388 |
| 1 2 1 | 26.56 | 3.357 | 1000 |
| 3 1 0 | 30.48 | 2.933 | 272 |
| 0 0 2 | 31.31 | 2.857 | 174 |
| 1 2 2 | 38.25 | 2.353 | 178 |
| 1 4 0 | 40.09 | 2.249 | 158 |
| 1 4 1 | 43.22 | 2.093 | 209 |
| 3 1 2 | 44.26 | 2.047 | 145 |
| 1 4 2 | 51.74 | 1.767 | 165 |

Structural model:
a = 9.274 Å, b = 9.274 Å, c = 5.714 Å
α = 90.00°, β = 90.00°, γ = 90.00°
Space group P4 (No. 75)
Inequivalent atoms, fractional coordinates:
Tl (0.166, 0.687, 0.000) [4 per cell]
V (0.143, 0.381, 0.527) [4 per cell]
V (0.500, 0.500, 0.552) [1 per cell]
Cd (0.000, 0.000, 0.569) [1 per cell]
Cl (0.000, 0.000, 0.114) [1 per cell]
O (0.000, 0.500, 0.631) [2 per cell]
O (0.116, 0.211, 0.640) [4 per cell]
O (0.145, 0.376, 0.235) [4 per cell]
O (0.309, 0.448, 0.639) [4 per cell]
O (0.500, 0.500, 0.268) [1 per cell]